The following is a theoretical XRD peak list of BiPbS2I. It was derived from DFT lattice parameters and positions (GGA-PBE), using CuKα.

Crystal structure
abc: 7.591 5.389 8.727
angles: 90.00 106.83 90.00
Fractional coordinates of all 10 atoms:
Bi: 0.174 0.250 0.420
Bi: 0.826 0.750 0.580
Pb: 0.194 0.250 0.931
Pb: 0.806 0.750 0.069
S: 0.050 0.750 0.868
S: 0.058 0.750 0.406
S: 0.942 0.250 0.594
S: 0.950 0.250 0.132
I: 0.446 0.750 0.235
I: 0.554 0.250 0.765

Peak list (10 most intense, 2θ = 10–90°, in order of rising 2θ)
| Position (°2θ) | I_rel |
| --- | --- |
| 20.52 | 64 |
| 27.00 | 62 |
| 27.51 | 100 |
| 29.66 | 31 |
| 33.25 | 38 |
| 40.88 | 38 |
| 41.39 | 20 |
| 43.68 | 58 |
| 51.68 | 16 |
| 54.09 | 18 |



The following is a theoretical XRD peak list of Be2Nb2B3. It was derived from DFT lattice parameters and positions (GGA-PBE), using CuKα.

Crystal structure
abc: 7.472 7.472 5.588
angles: 90.00 90.00 154.67
Fractional coordinates of all 14 atoms:
Be: 0.184 0.816 0.571
Be: 0.184 0.816 0.929
Be: 0.816 0.184 0.071
Be: 0.816 0.184 0.429
Nb: 0.350 0.650 0.750
Nb: 0.443 0.557 0.250
Nb: 0.557 0.443 0.750
Nb: 0.650 0.350 0.250
B: 0.052 0.948 0.084
B: 0.052 0.948 0.416
B: 0.277 0.723 0.250
B: 0.723 0.277 0.750
B: 0.948 0.052 0.584
B: 0.948 0.052 0.916

Peak list (10 most intense, 2θ = 10–90°, in order of rising 2θ)
| Position (°2θ) | I_rel |
| --- | --- |
| 12.14 | 23 |
| 27.90 | 70 |
| 29.25 | 69 |
| 32.03 | 52 |
| 40.48 | 31 |
| 42.99 | 66 |
| 44.64 | 100 |
| 55.39 | 18 |
| 56.13 | 15 |
| 65.98 | 22 |



The following is a theoretical XRD peak list of Cs2KHg6Pd. It was derived from DFT lattice parameters and positions (GGA-PBE), using CuKα.

Crystal structure
abc: 7.679 7.679 6.997
angles: 90.00 90.00 120.00
Fractional coordinates of all 10 atoms:
Cs: 0.333 0.667 0.163
Cs: 0.667 0.333 0.837
K: 0.000 0.000 0.000
Hg: 0.195 0.391 0.658
Hg: 0.195 0.805 0.658
Hg: 0.391 0.195 0.342
Hg: 0.609 0.805 0.658
Hg: 0.805 0.195 0.342
Hg: 0.805 0.609 0.342
Pd: 0.000 0.000 0.500

Peak list (10 most intense, 2θ = 10–90°, in order of rising 2θ)
| Position (°2θ) | I_rel |
| --- | --- |
| 12.65 | 43 |
| 18.40 | 21 |
| 28.83 | 56 |
| 29.75 | 100 |
| 35.72 | 27 |
| 37.31 | 34 |
| 38.04 | 27 |
| 42.79 | 22 |
| 47.35 | 21 |
| 66.90 | 24 |



The following is a theoretical XRD peak list of Nd4Y2ErMg. It was derived from DFT lattice parameters and positions (GGA-PBE), using CuKα.

Crystal structure
abc: 5.077 5.077 10.054
angles: 90.00 90.00 90.00
Fractional coordinates of all 8 atoms:
Nd: 0.000 0.500 0.247
Nd: 0.000 0.500 0.753
Nd: 0.500 0.000 0.247
Nd: 0.500 0.000 0.753
Y: 0.000 0.000 0.000
Y: 0.500 0.500 0.500
Er: 0.000 0.000 0.500
Mg: 0.500 0.500 0.000

Peak list (10 most intense, 2θ = 10–90°, in order of rising 2θ)
| Position (°2θ) | I_rel |
| --- | --- |
| 30.60 | 100 |
| 35.36 | 34 |
| 35.72 | 16 |
| 50.87 | 12 |
| 51.14 | 24 |
| 60.54 | 28 |
| 61.03 | 14 |
| 63.71 | 12 |
| 82.95 | 6 |
| 83.37 | 11 |



The following is a theoretical XRD peak list of Ti3AlPd12. It was derived from DFT lattice parameters and positions (GGA-PBE), using CuKα.

Crystal structure
abc: 3.922 3.922 15.689
angles: 90.00 90.00 90.00
Fractional coordinates of all 16 atoms:
Ti: 0.000 0.000 0.000
Ti: 0.000 0.000 0.254
Ti: 0.000 0.000 0.746
Al: 0.000 0.000 0.500
Pd: 0.000 0.500 0.124
Pd: 0.000 0.500 0.374
Pd: 0.000 0.500 0.626
Pd: 0.000 0.500 0.876
Pd: 0.500 0.000 0.124
Pd: 0.500 0.000 0.374
Pd: 0.500 0.000 0.626
Pd: 0.500 0.000 0.876
Pd: 0.500 0.500 0.000
Pd: 0.500 0.500 0.249
Pd: 0.500 0.500 0.500
Pd: 0.500 0.500 0.751

Peak list (10 most intense, 2θ = 10–90°, in order of rising 2θ)
| Position (°2θ) | I_rel |
| --- | --- |
| 22.67 | 10 |
| 32.28 | 9 |
| 39.81 | 100 |
| 46.29 | 48 |
| 52.14 | 5 |
| 57.56 | 3 |
| 67.55 | 30 |
| 72.26 | 2 |
| 81.36 | 35 |
| 85.82 | 10 |



The following is a theoretical XRD peak list of Ca3TmIn4. It was derived from DFT lattice parameters and positions (GGA-PBE), using CuKα.

Crystal structure
abc: 3.786 3.786 15.497
angles: 90.00 90.00 90.00
Fractional coordinates of all 8 atoms:
Ca: 0.000 0.000 0.000
Ca: 0.000 0.000 0.254
Ca: 0.000 0.000 0.746
Tm: 0.000 0.000 0.500
In: 0.500 0.500 0.128
In: 0.500 0.500 0.382
In: 0.500 0.500 0.618
In: 0.500 0.500 0.872

Peak list (10 most intense, 2θ = 10–90°, in order of rising 2θ)
| Position (°2θ) | I_rel |
| --- | --- |
| 11.42 | 9 |
| 33.08 | 100 |
| 33.47 | 49 |
| 46.90 | 9 |
| 48.06 | 17 |
| 58.84 | 18 |
| 59.59 | 35 |
| 69.42 | 10 |
| 79.96 | 8 |
| 80.17 | 7 |



The following is a theoretical XRD peak list of Zr2Si4Ir3. It was derived from DFT lattice parameters and positions (GGA-PBE), using CuKα.

Crystal structure
abc: 7.701 7.701 7.000
angles: 90.00 90.00 137.97
Fractional coordinates of all 18 atoms:
Zr: 0.098 0.902 0.900
Zr: 0.402 0.598 0.400
Zr: 0.598 0.402 0.600
Zr: 0.902 0.098 0.100
Si: 0.178 0.822 0.526
Si: 0.187 0.313 0.750
Si: 0.313 0.187 0.250
Si: 0.322 0.678 0.026
Si: 0.678 0.322 0.974
Si: 0.687 0.813 0.750
Si: 0.813 0.687 0.250
Si: 0.822 0.178 0.474
Ir: 0.000 0.000 0.500
Ir: 0.019 0.481 0.750
Ir: 0.481 0.019 0.250
Ir: 0.500 0.500 0.000
Ir: 0.519 0.981 0.750
Ir: 0.981 0.519 0.250

Peak list (10 most intense, 2θ = 10–90°, in order of rising 2θ)
| Position (°2θ) | I_rel |
| --- | --- |
| 24.77 | 37 |
| 27.74 | 25 |
| 28.36 | 100 |
| 34.80 | 69 |
| 37.17 | 23 |
| 37.53 | 62 |
| 41.66 | 78 |
| 45.89 | 29 |
| 49.07 | 51 |
| 75.58 | 24 |